Calculated XRD peak list
Compound: MgPt2Se3
Radiation: Cu Kα
Structure: the GGA-PBE geometry in Alexandria
Kinematic intensities with the Lorentz-polarization factor, no thermal factor.

Lattice parameters (Å, degrees): 7.565 7.565 5.081 90.00 90.00 120.00
Element x y z (fractional)
Mg 0.333 0.667 0.351
Mg 0.667 0.333 0.649
Pt 0.000 0.000 0.000
Pt 0.000 0.500 0.000
Pt 0.500 0.000 0.000
Pt 0.500 0.500 0.000
Se 0.175 0.350 0.751
Se 0.175 0.825 0.751
Se 0.350 0.175 0.249
Se 0.650 0.825 0.751
Se 0.825 0.175 0.249
Se 0.825 0.650 0.249

Most intense lines, 15° ≤ 2θ ≤ 90°, sorted by position:
Position (°2θ)  I (rel.)
17.45  504
27.22  243
32.52  1000
45.17  518
48.11  340
51.56  200